Starting from a structure optimized by DFT (PBE), the XRD peak list of Pd5Au7 was computed for a wavelength of 1.5418 Å.

Lattice parameters (Å, degrees): 14.8611 2.8778 10.7154 90.00 117.72 90.00
Space group C2/m (No. 12)
Asymmetric unit:
Pd  0.0000  0.0000  0.0000
Pd  0.1676  0.0000  0.5014
Pd  0.1935  0.5000  0.7473
Au  0.0000  0.5000  0.5000
Au  0.0287  0.0000  0.7511
Au  0.1414  0.5000  0.2539
Au  0.1674  0.5000  0.0037

Largest 10 diffraction maxima, low angle first, 2θ from 10° to 80°:
hkl 3 1 0, d 2.407, 37.37 deg, I 50; hkl 6 0 -3, d 2.397, 37.52 deg, I 24; hkl 0 0 4, d 2.371, 37.94 deg, I 57; hkl 3 1 -3, d 2.204, 40.96 deg, I 100; hkl 6 0 -4, d 2.198, 41.06 deg, I 25; hkl 6 0 0, d 2.193, 41.17 deg, I 26; hkl 3 1 2, d 1.954, 46.49 deg, I 17; hkl 9 1 -3, d 1.432, 65.13 deg, I 24; hkl 3 1 -7, d 1.335, 70.54 deg, I 16; hkl 9 1 -7, d 1.228, 77.81 deg, I 17

---

Starting from a structure optimized by DFT (PBE), the XRD peak list of PmPd6Au4 was computed for a wavelength of 1.5418 Å.

Lattice parameters (Å, degrees): 6.5115 6.5115 10.5479 90.00 90.00 90.00
Space group I-42m (No. 121)
Asymmetric unit:
Pm  0.0000  0.0000  0.0000
Pd  0.0000  0.5000  0.0000
Pd  0.2444  0.2444  0.6574
Au  0.1641  0.1641  0.3933

Largest 10 diffraction maxima, low angle first, 2θ from 10° to 80°:
hkl 1 0 1, d 5.541, 16.00 deg, I 37; hkl 0 0 2, d 5.274, 16.81 deg, I 38; hkl 2 1 1, d 2.807, 31.88 deg, I 100; hkl 2 0 2, d 2.770, 32.31 deg, I 46; hkl 2 2 0, d 2.302, 39.13 deg, I 63; hkl 1 1 4, d 2.288, 39.38 deg, I 52; hkl 2 1 3, d 2.243, 40.21 deg, I 73; hkl 3 0 1, d 2.126, 42.52 deg, I 67; hkl 2 2 2, d 2.110, 42.86 deg, I 43; hkl 2 0 4, d 2.049, 44.20 deg, I 94

---

Starting from a structure optimized by DFT (PBE), the XRD peak list of Pm2Pd4Au5 was computed for a wavelength of 1.5418 Å.

Lattice parameters (Å, degrees): 5.5111 9.1435 18.2985 90.00 90.00 90.00
Space group Fmmm (No. 69)
Asymmetric unit:
Pm  0.0000  0.0000  0.1336
Pd  0.0000  0.1623  0.3721
Au  0.0000  0.0000  0.5000
Au  0.2500  0.2500  0.0000
Au  0.2500  0.2500  0.2500

Largest 10 diffraction maxima, low angle first, 2θ from 10° to 80°:
hkl 0 2 0, d 4.572, 19.42 deg, I 38; hkl 0 2 4, d 3.234, 27.58 deg, I 37; hkl 1 3 3, d 2.444, 36.78 deg, I 43; hkl 2 0 4, d 2.360, 38.13 deg, I 100; hkl 0 0 8, d 2.287, 39.40 deg, I 64; hkl 2 2 4, d 2.097, 43.13 deg, I 40; hkl 0 4 4, d 2.045, 44.29 deg, I 30; hkl 2 2 8, d 1.642, 55.99 deg, I 35; hkl 0 6 4, d 1.446, 64.44 deg, I 21; hkl 2 6 0, d 1.334, 70.62 deg, I 25

---

Starting from a structure optimized by DFT (PBE), the XRD peak list of Pm4Pd3Au5 was computed for a wavelength of 1.5418 Å.

Lattice parameters (Å, degrees): 17.4988 5.2286 6.3992 90.00 108.72 90.00
Space group C2/m (No. 12)
Asymmetric unit:
Pm  0.1026  0.0000  0.4300
Pm  0.1937  0.5000  0.1354
Pd  0.0000  0.0000  0.0000
Pd  0.2319  0.5000  0.6178
Au  0.0000  0.5000  0.0000
Au  0.0754  0.5000  0.6639
Au  0.1418  0.0000  0.9213

Largest 10 diffraction maxima, low angle first, 2θ from 10° to 80°:
hkl 6 0 -1, d 2.887, 30.97 deg, I 52; hkl 1 1 -2, d 2.708, 33.08 deg, I 27; hkl 3 1 -2, d 2.674, 33.52 deg, I 30; hkl 0 2 0, d 2.614, 34.30 deg, I 100; hkl 1 1 2, d 2.485, 36.14 deg, I 96; hkl 6 0 -2, d 2.475, 36.30 deg, I 43; hkl 6 0 1, d 2.254, 39.99 deg, I 25; hkl 7 1 0, d 2.157, 41.89 deg, I 30; hkl 6 2 -1, d 1.938, 46.88 deg, I 39; hkl 6 2 -2, d 1.797, 50.80 deg, I 33

---

Starting from a structure optimized by DFT (PBE), the XRD peak list of Pm3Pd2Au4 was computed for a wavelength of 1.5418 Å.

Lattice parameters (Å, degrees): 11.8455 9.3501 7.4640 90.00 90.16 90.00
Space group C2/c (No. 15)
Asymmetric unit:
Pm  0.0000  0.0549  0.2500
Pm  0.1703  0.4410  0.7508
Pd  0.1691  0.1442  0.9532
Au  0.0046  0.3510  0.0505
Au  0.1657  0.1470  0.5545

Largest 10 diffraction maxima, low angle first, 2θ from 10° to 80°:
hkl 3 1 1, d 3.270, 27.28 deg, I 38; hkl 0 2 2, d 2.917, 30.65 deg, I 26; hkl 3 1 -2, d 2.605, 34.43 deg, I 100; hkl 3 3 0, d 2.446, 36.74 deg, I 69; hkl 3 3 1, d 2.325, 38.73 deg, I 23; hkl 0 2 3, d 2.196, 41.10 deg, I 48; hkl 3 3 -2, d 2.049, 44.20 deg, I 18; hkl 6 0 0, d 1.974, 45.97 deg, I 29; hkl 3 5 -3, d 1.399, 66.88 deg, I 19; hkl 3 5 3, d 1.397, 66.97 deg, I 19

---

Starting from a structure optimized by DFT (PBE), the XRD peak list of Pm3Pd2Au5 was computed for a wavelength of 1.5418 Å.

Lattice parameters (Å, degrees): 6.0831 15.7595 5.0320 90.00 90.00 90.00
Space group Cmmm (No. 65)
Asymmetric unit:
Pm  0.0000  0.0000  0.0000
Pm  0.0000  0.3268  0.5000
Pd  0.0000  0.1430  0.5000
Au  0.0000  0.2088  0.0000
Au  0.0000  0.5000  0.0000
Au  0.2288  0.5000  0.5000

Largest 10 diffraction maxima, low angle first, 2θ from 10° to 80°:
hkl 0 4 0, d 3.940, 22.57 deg, I 33; hkl 1 3 1, d 3.120, 28.61 deg, I 25; hkl 2 0 0, d 3.042, 29.37 deg, I 32; hkl 2 2 0, d 2.837, 31.53 deg, I 25; hkl 0 6 0, d 2.627, 34.14 deg, I 38; hkl 0 0 2, d 2.516, 35.69 deg, I 69; hkl 2 2 1, d 2.472, 36.35 deg, I 34; hkl 1 5 1, d 2.446, 36.75 deg, I 36; hkl 2 4 1, d 2.172, 41.58 deg, I 100; hkl 0 6 2, d 1.817, 50.21 deg, I 26